(1)
Starting from a structure optimized by DFT (PBE), the PXRD pattern of Nd6CuAg3 was computed for Cu Kα X-rays.
Intensities are scaled so that the largest is 100.

Peak list (10 most intense, 10° ≤ 2θ ≤ 80°, low angle first)
- hkl 0 1 3, 2θ = 29.01°, I = 77
- hkl 2 1 -3, 2θ = 30.15°, I = 100
- hkl 3 1 -2, 2θ = 33.42°, I = 88
- hkl 3 0 1, 2θ = 33.60°, I = 40
- hkl 1 1 -4, 2θ = 33.79°, I = 48
- hkl 0 2 0, 2θ = 35.42°, I = 89
- hkl 3 1 1, 2θ = 38.12°, I = 28
- hkl 1 1 4, 2θ = 40.09°, I = 30
- hkl 2 0 -6, 2θ = 43.71°, I = 25
- hkl 3 2 1, 2θ = 49.62°, I = 27

Cell and atoms:
```
data_Nd6CuAg3
_space_group_name_H-M_alt 'P 1 21/m 1'
_space_group_IT_number 11
_cell_length_a 9.602
_cell_length_b 5.069
_cell_length_c 12.462
_cell_angle_alpha 90.00
_cell_angle_beta 111.19
_cell_angle_gamma 90.00
loop_
_space_group_symop_operation_xyz
'x,y,z'
'-x,-y,-z'
'-x,y+1/2,-z'
'x,-y+1/2,z'
loop_
_atom_site_label
_atom_site_type_symbol
_atom_site_fract_x
_atom_site_fract_y
_atom_site_fract_z
Nd1 Nd 0.006 0.250 0.117
Nd2 Nd 0.113 0.750 0.618
Nd3 Nd 0.199 0.750 0.345
Nd4 Nd 0.332 0.250 0.036
Nd5 Nd 0.444 0.250 0.760
Nd6 Nd 0.467 0.250 0.388
Cu1 Cu 0.222 0.750 0.122
Ag1 Ag 0.134 0.250 0.785
Ag2 Ag 0.239 0.250 0.510
Ag3 Ag 0.321 0.750 0.870
```


(2)
Starting from a structure optimized by DFT (PBE), the PXRD pattern of NaMn2B was computed for Cu Kα X-rays.
Intensities are scaled so that the largest is 100.

Peak list (10 most intense, 10° ≤ 2θ ≤ 80°, low angle first)
- hkl 1 0 1, 2θ = 17.99°, I = 100
- hkl 1 1 2, 2θ = 27.87°, I = 17
- hkl 1 0 3, 2θ = 28.57°, I = 66
- hkl 0 0 4, 2θ = 31.32°, I = 18
- hkl 2 0 2, 2θ = 36.45°, I = 94
- hkl 2 1 1, 2θ = 37.63°, I = 63
- hkl 1 0 5, 2θ = 42.91°, I = 21
- hkl 2 1 3, 2θ = 44.02°, I = 16
- hkl 2 2 4, 2θ = 57.59°, I = 36
- hkl 2 0 6, 2θ = 59.14°, I = 23

Cell and atoms:
```
data_NaMn2B
_space_group_name_H-M_alt 'I 41/a m d'
_space_group_IT_number 141
_cell_length_a 5.466
_cell_length_b 5.466
_cell_length_c 11.422
_cell_angle_alpha 90.00
_cell_angle_beta 90.00
_cell_angle_gamma 90.00
loop_
_space_group_symop_operation_xyz
'x,y,z'
'-x,-y,-z'
'-y+1/4,x+3/4,z+1/4'
'y+1/4,-x+3/4,-z+1/4'
'-x+1/2,-y,z+1/2'
'x+1/2,y,-z+1/2'
'y+1/4,-x+1/4,z+3/4'
'-y+1/4,x+1/4,-z+3/4'
'x,-y,-z'
'-x,y,z'
'-y+1/4,-x+1/4,-z+3/4'
'y+1/4,x+1/4,z+3/4'
'-x+1/2,y,-z+1/2'
'x+1/2,-y,z+1/2'
'y+1/4,x+3/4,-z+1/4'
'-y+1/4,-x+3/4,z+1/4'
'x+1/2,y+1/2,z+1/2'
'-x+1/2,-y+1/2,-z+1/2'
'-y+3/4,x+1/4,z+3/4'
'y+3/4,-x+1/4,-z+3/4'
'-x,-y+1/2,z'
'x,y+1/2,-z'
'y+3/4,-x+3/4,z+1/4'
'-y+3/4,x+3/4,-z+1/4'
'x+1/2,-y+1/2,-z+1/2'
'-x+1/2,y+1/2,z+1/2'
'-y+3/4,-x+3/4,-z+1/4'
'y+3/4,x+3/4,z+1/4'
'-x,y+1/2,-z'
'x,-y+1/2,z'
'y+3/4,x+1/4,-z+3/4'
'-y+3/4,-x+1/4,z+3/4'
loop_
_atom_site_label
_atom_site_type_symbol
_atom_site_fract_x
_atom_site_fract_y
_atom_site_fract_z
Na1 Na 0.000 0.250 0.375
Mn1 Mn 0.000 0.000 0.000
B1 B 0.000 0.250 0.875
```